Structure and theoretical powder diffractogram of TbThZn (a DFT-relaxed cell (PBE, Alexandria); CuKα).
Neutral-atom scattering factors, no anomalous dispersion.

Crystal structure
```
TbThZn
1.0
3.5962 0.0000 0.0000
0.0000 3.5962 0.0000
0.0000 0.0000 12.4905
Tb Th Zn
2 2 2
Cartesian
0.0000 0.0000 0.0000
1.7981 1.7981 6.2452
0.0000 0.0000 3.7349
1.7981 1.7981 9.9802
0.0000 0.0000 8.0076
1.7981 1.7981 1.7623
```

Most intense lines, 2θ = 10–90°, low angle first:
d [Å]  intensity
3.456  26
3.123  12
2.722  100
2.543  45
1.972  13
1.798  16
1.611  16
1.598  10
1.500  33
1.361  9


Structure and theoretical powder diffractogram of TbTh2Zn6 (a DFT-relaxed cell (PBE, Alexandria); CuKα).
Neutral-atom scattering factors, no anomalous dispersion.

Crystal structure
```
TbTh2Zn6
1.0
6.8397 -3.9487 0.0000
6.8397 3.9487 0.0000
-0.0039 0.0000 3.5374
Tb Th Zn
1 2 6
Cartesian
0.0000 0.0000 0.0000
4.5571 0.0000 3.5371
9.1184 0.0000 0.0003
2.2528 1.3010 1.7693
11.4227 -1.3010 1.7681
2.2528 -1.3010 1.7693
6.8377 1.3463 1.7687
11.4227 1.3010 1.7681
6.8377 -1.3463 1.7687
```

Most intense lines, 2θ = 10–90°, low angle first:
d [Å]  intensity
3.949  31
2.635  100
2.280  53
1.769  8
1.724  28
1.397  22
1.375  27
1.316  9
1.140  6
1.130  7


Structure and theoretical powder diffractogram of TbThZn2 (a DFT-relaxed cell (PBE, Alexandria); CuKα).
Neutral-atom scattering factors, no anomalous dispersion.

Crystal structure
```
TbThZn2
1.0
5.1195 0.0000 0.0000
0.0000 3.6099 0.0000
0.0000 0.0000 10.3090
Tb Th Zn
2 2 4
Cartesian
1.2799 0.0000 1.2467
3.8396 0.0000 9.0623
1.2799 0.0000 6.4077
3.8396 0.0000 3.9012
1.2799 1.8050 3.7213
1.2799 1.8050 9.0413
3.8396 1.8050 1.2677
3.8396 1.8050 6.5876
```

Most intense lines, 2θ = 10–90°, low angle first:
d [Å]  intensity
3.632  20
3.610  10
2.577  20
2.560  100
1.816  14
1.805  7
1.485  14
1.478  22
1.475  7
1.280  11


Structure and theoretical powder diffractogram of TbThZr (a DFT-relaxed cell (PBE, Alexandria); CuKα).
Neutral-atom scattering factors, no anomalous dispersion.

Crystal structure
```
TbThZr
1.0
3.4820 0.0000 0.0000
-1.7410 3.0155 0.0000
0.0000 0.0000 16.6466
Tb Th Zr
2 2 2
Cartesian
0.0000 0.0000 1.6555
0.0000 0.0000 14.9911
0.0000 2.0103 4.4588
1.7410 1.0052 12.1878
0.0000 2.0103 9.5468
1.7410 1.0052 7.0998
```

Most intense lines, 2θ = 10–90°, low angle first:
d [Å]  intensity
8.323  36
2.967  100
2.835  27
2.774  37
2.650  95
2.442  74
1.867  23
1.741  42
1.475  33
1.457  23


Structure and theoretical powder diffractogram of Tb3Tl4 (a DFT-relaxed cell (PBE, Alexandria); CuKα).
Neutral-atom scattering factors, no anomalous dispersion.

Crystal structure
```
Tb3Tl4
1.0
7.1481 4.1269 2.1783
-7.1481 4.1269 2.1783
0.0000 -8.2539 2.1783
Tb Tl
6 8
Cartesian
4.3514 3.5422 3.6100
-4.3514 -3.5422 2.9248
-5.2433 1.9973 3.6100
0.8920 -5.5395 3.6100
-0.8920 5.5395 2.9248
5.2433 -1.9973 2.9248
0.0000 0.0000 0.0000
-1.0788 -3.1979 1.9755
-2.2300 2.5332 1.9755
-3.3088 -0.6646 4.5593
0.0000 0.0000 3.2674
3.3088 0.6646 1.9755
2.2300 -2.5332 4.5593
1.0788 3.1979 4.5593
```

Most intense lines, 2θ = 10–90°, low angle first:
d [Å]  intensity
3.040  8
2.702  100
2.679  90
2.367  8
1.902  28
1.560  14
1.555  25
1.542  12
1.351  7
1.206  8


Structure and theoretical powder diffractogram of Tb5Tl3 (a DFT-relaxed cell (PBE, Alexandria); CuKα).
Neutral-atom scattering factors, no anomalous dispersion.

Crystal structure
```
Tb5Tl3
1.0
-6.1322 6.1322 3.0677
6.1322 -6.1322 3.0677
6.1322 6.1322 -3.0677
Tb Tl
10 6
Cartesian
9.5786 1.0157 0.0000
1.0157 2.6857 0.0000
6.1322 0.0000 1.5338
7.1479 3.4464 0.0000
3.4464 5.1164 0.0000
2.6857 1.0157 3.0677
-1.0157 2.6857 3.0677
0.0000 6.1322 1.5338
5.1164 3.4464 3.0677
-3.4464 5.1164 3.0677
4.1489 1.9833 0.0000
0.0000 0.0000 1.5338
4.1489 -1.9833 3.0677
1.9833 8.1154 0.0000
0.0000 0.0000 4.6015
1.9833 4.1489 3.0677
```

Most intense lines, 2θ = 10–90°, low angle first:
d [Å]  intensity
3.067  18
2.975  37
2.743  100
2.677  82
2.504  27
2.169  17
2.135  19
2.104  15
1.685  21
1.487  24


Structure and theoretical powder diffractogram of Tb7Tl3 (a DFT-relaxed cell (PBE, Alexandria); CuKα).
Neutral-atom scattering factors, no anomalous dispersion.

Crystal structure
```
Tb7Tl3
1.0
10.6734 0.0000 0.0000
-5.3367 9.2435 0.0000
0.0000 0.0000 6.2310
Tb Tl
14 6
Cartesian
-2.2170 4.8823 0.0000
0.0000 2.2353 4.7208
-3.4009 8.1258 4.7208
1.9358 1.1176 1.6053
0.0000 6.1623 3.5536
2.2170 4.8823 0.0000
0.0000 8.7223 0.0000
5.3367 0.5212 3.1155
3.1197 4.3612 3.1155
5.3367 3.0812 0.4381
3.4009 8.1258 4.7208
8.7376 1.1176 1.6053
5.3367 7.0082 1.6053
7.5537 4.3612 3.1155
0.0000 3.5736 1.8193
-2.2419 7.4567 1.8193
3.0948 1.7868 4.9348
2.2419 7.4567 1.8193
7.5786 1.7868 4.9348
5.3367 5.6699 4.9348
```

Most intense lines, 2θ = 10–90°, low angle first:
d [Å]  intensity
3.081  24
3.047  59
2.952  33
2.762  100
2.668  62
2.583  65
2.325  19
1.919  23
1.484  22
1.440  24


Structure and theoretical powder diffractogram of Tb3Tl2 (a DFT-relaxed cell (PBE, Alexandria); CuKα).
Neutral-atom scattering factors, no anomalous dispersion.

Crystal structure
```
Tb3Tl2
1.0
-3.0607 3.0607 7.8621
3.0607 -3.0607 7.8621
3.0607 3.0607 -7.8621
Tb Tl
6 4
Cartesian
0.0000 0.0000 0.0000
1.5304 1.5304 -3.9310
1.5304 -1.5304 3.9310
3.0607 1.5304 1.9655
0.0000 3.0607 0.0000
0.0000 1.5304 5.8966
3.0607 1.5304 -1.1127
0.0000 1.5304 2.8183
3.0607 1.5304 5.0438
0.0000 1.5304 8.9748
```

Most intense lines, 2θ = 10–90°, low angle first:
d [Å]  intensity
3.061  65
2.852  35
2.797  100
2.697  80
2.427  37
2.242  21
1.896  33
1.712  24
1.530  21
1.343  21